[1]
Theoretical powder X-ray diffraction pattern
Compound: BaLa3
Radiation: CuKα
Structure: the GGA-PBE geometry in Alexandria

The 10 most intense peaks (2θ from 15° to 90°), in order of falling intensity:
- 2θ 28.42, I 100
- 2θ 33.08, I 46
- 2θ 27.86, I 35
- 2θ 47.16, I 24
- 2θ 32.15, I 22
- 2θ 56.26, I 19
- 2θ 46.41, I 16
- 2θ 58.80, I 12
- 2θ 55.64, I 10
- 2θ 56.56, I 10

Structure:
```
BaLa3
1.0
6.3645 -1.9030 0.0000
6.3645 1.9030 0.0000
-1.1390 0.0000 6.7472
Ba La
1 3
direct
0.0000 0.0000 0.0000 Ba
0.2406 0.2406 0.7229 La
0.5000 0.5000 0.5000 La
0.7594 0.7594 0.2771 La
```



[2]
Theoretical powder X-ray diffraction pattern
Compound: Pr2Cd2Ni15
Radiation: CuKα
Structure: the GGA-PBE geometry in Alexandria

The 10 most intense peaks (2θ from 15° to 90°), in order of falling intensity:
- 2θ 42.58, I 100
- 2θ 42.23, I 85
- 2θ 36.36, I 67
- 2θ 37.73, I 48
- 2θ 47.82, I 43
- 2θ 43.45, I 37
- 2θ 43.60, I 31
- 2θ 31.16, I 29
- 2θ 77.22, I 27
- 2θ 79.36, I 22

Structure:
```
Pr2Cd2Ni15
1.0
4.2798 2.4710 4.1514
-4.2798 2.4710 4.1514
0.0000 -4.9419 4.1514
Pr Cd Ni
2 2 15
direct
0.1491 0.1491 0.1491 Pr
0.8509 0.8509 0.8509 Pr
0.3956 0.3956 0.3956 Cd
0.6044 0.6044 0.6044 Cd
0.0000 0.5000 0.5000 Ni
0.1542 0.1542 0.6598 Ni
0.1542 0.6598 0.1542 Ni
0.1982 0.5000 0.8018 Ni
0.1982 0.8018 0.5000 Ni
0.3402 0.8458 0.8458 Ni
0.5000 0.0000 0.5000 Ni
0.5000 0.1982 0.8018 Ni
0.5000 0.5000 0.0000 Ni
0.5000 0.8018 0.1982 Ni
0.6598 0.1542 0.1542 Ni
0.8018 0.1982 0.5000 Ni
0.8018 0.5000 0.1982 Ni
0.8458 0.3402 0.8458 Ni
0.8458 0.8458 0.3402 Ni
```